Starting from DFT lattice parameters and positions (PBE), the powder diffractogram of Ca2MgCd2 was simulated for Cu Kα, 1.54184 Å.

Structural model:
abc: 4.7488 6.3934 9.5047
angles: 90.00 90.00 90.00
Sites, in units of the cell vectors:
Ca (0.0000, 0.0000, 0.2014)
Ca (0.0000, 0.0000, 0.7986)
Ca (0.5000, 0.5000, 0.2986)
Ca (0.5000, 0.5000, 0.7014)
Mg (0.0000, 0.5000, 0.0000)
Mg (0.5000, 0.0000, 0.5000)
Cd (0.0000, 0.2712, 0.5000)
Cd (0.0000, 0.7288, 0.5000)
Cd (0.5000, 0.2288, 0.0000)
Cd (0.5000, 0.7712, 0.0000)

Main lines, by angle (10 to 90 degrees two-theta):
4.752 Å, intensity 557
4.248 Å, intensity 790
2.974 Å, intensity 327
2.652 Å, intensity 526
2.636 Å, intensity 540
2.554 Å, intensity 1000
2.375 Å, intensity 533
2.034 Å, intensity 224
1.769 Å, intensity 366
1.545 Å, intensity 290